[1]
Starting from a GGA-PBE-relaxed structure, the X-ray powder pattern of YCdSi2 was computed for Cu Kα X-rays.
Kinematic intensities with the Lorentz-polarization factor, no thermal factor.

Main lines, by angle (2θ from 10° to 90°):
- (0 0 1), 16.2°, rel. 24.1
- (0 1 1), 24.9°, rel. 31.8
- (1 0 1), 32.9°, rel. 28.7
- (1 1 0), 34.2°, rel. 41.5
- (0 2 0), 38.1°, rel. 100.0
- (1 0 2), 43.9°, rel. 19.4
- (1 2 1), 51.2°, rel. 15.8
- (1 2 2), 59.5°, rel. 15.2
- (0 3 2), 68.8°, rel. 16.2
- (2 2 0), 72.1°, rel. 24.4

Atomic structure:
```
data_YCdSi2
_chemical_formula_sum 'Y1 Cd1 Si2'
_cell_length_a 3.1457
_cell_length_b 4.7253
_cell_length_c 5.4567
_cell_angle_alpha 90.00
_cell_angle_beta 90.00
_cell_angle_gamma 90.00
_symmetry_space_group_name_H-M 'P m m 2'
_symmetry_Int_Tables_number 25
loop_
_symmetry_equiv_pos_as_xyz
'x,y,z'
'-x,-y,z'
'-x,y,z'
'x,-y,z'
loop_
_atom_site_label
_atom_site_type_symbol
_atom_site_fract_x
_atom_site_fract_y
_atom_site_fract_z
Y1 Y 0.0000 0.0000 0.0000
Cd1 Cd 0.5000 0.5000 0.7171
Si1 Si 0.5000 0.0000 0.4714
Si2 Si 0.5000 0.5000 0.2159
```


[2]
Starting from a GGA-PBE-relaxed structure, the X-ray powder pattern of Ce2Nd2Ge4Pd was computed for Cu Kα X-rays.
Kinematic intensities with the Lorentz-polarization factor, no thermal factor.

Main lines, by angle (2θ from 10° to 90°):
- (2 0 0), 24.4°, rel. 37.1
- (1 1 2), 27.6°, rel. 27.4
- (2 0 2), 32.7°, rel. 94.0
- (1 0 3), 34.7°, rel. 34.6
- (2 2 0), 34.8°, rel. 100.0
- (2 1 3), 42.9°, rel. 32.4
- (4 0 0), 50.1°, rel. 35.2
- (3 2 3), 56.4°, rel. 19.7
- (4 2 2), 61.1°, rel. 30.2
- (3 1 6), 81.1°, rel. 16.5

Atomic structure:
```
data_Ce2Nd2Ge4Pd
_chemical_formula_sum 'Ce4 Nd4 Ge8 Pd2'
_cell_length_a 7.2824
_cell_length_b 7.2824
_cell_length_c 8.3035
_cell_angle_alpha 90.00
_cell_angle_beta 90.00
_cell_angle_gamma 90.00
_symmetry_space_group_name_H-M 'I 4/m m m'
_symmetry_Int_Tables_number 139
_symmetry_space_group_name_Hall '-I 4 2'
loop_
_atom_site_label
_atom_site_type_symbol
_atom_site_fract_x
_atom_site_fract_y
_atom_site_fract_z
Ce1 Ce 0.0000 0.0000 0.1646
Nd1 Nd 0.0000 0.5000 0.2500
Ge1 Ge 0.2416 0.2416 0.5000
Pd1 Pd 0.0000 0.0000 0.5000
```


[3]
Starting from a GGA-PBE-relaxed structure, the X-ray powder pattern of Li2NiSb2Rh was computed for Cu Kα X-rays.
Kinematic intensities with the Lorentz-polarization factor, no thermal factor.

Main lines, by angle (2θ from 10° to 90°):
- (0 2 0), 14.0°, rel. 52.9
- (1 2 1), 25.8°, rel. 100.0
- (0 2 2), 33.6°, rel. 15.3
- (2 2 0), 34.1°, rel. 14.6
- (0 4 2), 42.0°, rel. 44.8
- (2 4 0), 42.4°, rel. 43.0
- (2 0 2), 43.9°, rel. 39.1
- (1 6 1), 48.6°, rel. 17.9
- (1 2 3), 51.2°, rel. 14.9
- (2 8 2), 75.9°, rel. 14.4

Atomic structure:
```
data_Li2NiSb2Rh
_chemical_formula_sum 'Li8 Ni4 Sb8 Rh4'
_cell_length_a 5.7848
_cell_length_b 12.6298
_cell_length_c 5.8898
_cell_angle_alpha 90.00
_cell_angle_beta 90.00
_cell_angle_gamma 90.00
_symmetry_space_group_name_H-M 'I b a m'
_symmetry_Int_Tables_number 72
_symmetry_space_group_name_Hall '-I 2 2c'
loop_
_atom_site_label
_atom_site_type_symbol
_atom_site_fract_x
_atom_site_fract_y
_atom_site_fract_z
Li1 Li 0.2467 0.1458 0.0000
Ni1 Ni 0.0000 0.5000 0.2500
Sb1 Sb 0.2381 0.3731 0.0000
Rh1 Rh 0.0000 0.0000 0.2500
```


[4]
Starting from a GGA-PBE-relaxed structure, the X-ray powder pattern of Ba3Y was computed for Cu Kα X-rays.
Kinematic intensities with the Lorentz-polarization factor, no thermal factor.

Main lines, by angle (2θ from 10° to 90°):
- (0 1 2), 26.8°, rel. 67.4
- (1 0 1), 27.0°, rel. 100.0
- (0 2 0), 27.1°, rel. 33.1
- (1 0 -3), 38.1°, rel. 12.8
- (1 2 1), 38.7°, rel. 25.3
- (1 2 -3), 47.4°, rel. 13.6
- (1 1 3), 47.5°, rel. 13.6
- (0 3 2), 47.7°, rel. 20.4
- (2 1 0), 47.9°, rel. 27.3
- (1 4 1), 63.2°, rel. 11.8

Atomic structure:
```
data_Ba3Y
_chemical_formula_sum 'Ba3 Y1'
_cell_length_a 4.0298
_cell_length_b 6.5707
_cell_length_c 7.8512
_cell_angle_alpha 90.00
_cell_angle_beta 100.41
_cell_angle_gamma 90.00
_symmetry_space_group_name_H-M 'P 1 2/m 1'
_symmetry_Int_Tables_number 10
loop_
_symmetry_equiv_pos_as_xyz
'x,y,z'
'-x,-y,-z'
'-x,y,-z'
'x,-y,z'
loop_
_atom_site_label
_atom_site_type_symbol
_atom_site_fract_x
_atom_site_fract_y
_atom_site_fract_z
Ba1 Ba 0.0000 0.0000 0.0000
Ba2 Ba 0.2496 0.5000 0.7356
Y1 Y 0.5000 0.0000 0.5000
```


[5]
Starting from a GGA-PBE-relaxed structure, the X-ray powder pattern of K2InGa4Sn3 was computed for Cu Kα X-rays.
Kinematic intensities with the Lorentz-polarization factor, no thermal factor.

Main lines, by angle (2θ from 10° to 90°):
- (0 0 2), 15.5°, rel. 39.3
- (1 0 1), 19.7°, rel. 45.7
- (1 0 3), 29.6°, rel. 48.0
- (1 1 2), 30.1°, rel. 100.0
- (2 0 0), 36.6°, rel. 90.3
- (1 1 4), 40.9°, rel. 87.9
- (2 1 3), 47.8°, rel. 24.9
- (2 2 0), 52.8°, rel. 31.2
- (3 1 2), 62.0°, rel. 24.2
- (3 1 4), 68.8°, rel. 38.3

Atomic structure:
```
data_K2InGa4Sn3
_chemical_formula_sum 'K2 In1 Ga4 Sn3'
_cell_length_a 4.9043
_cell_length_b 4.9043
_cell_length_c 11.4604
_cell_angle_alpha 90.00
_cell_angle_beta 90.00
_cell_angle_gamma 90.00
_symmetry_space_group_name_H-M 'P -4 m 2'
_symmetry_Int_Tables_number 115
loop_
_symmetry_equiv_pos_as_xyz
'x,y,z'
'y,-x,-z'
'-x,-y,z'
'-y,x,-z'
'-x,y,z'
'-y,-x,-z'
'x,-y,z'
'y,x,-z'
loop_
_atom_site_label
_atom_site_type_symbol
_atom_site_fract_x
_atom_site_fract_y
_atom_site_fract_z
K1 K 0.0000 0.5000 0.2443
In1 In 0.0000 0.0000 0.5000
Ga1 Ga 0.0000 0.0000 0.0000
Ga2 Ga 0.0000 0.5000 0.6325
Ga3 Ga 0.5000 0.5000 0.0000
Sn1 Sn 0.0000 0.5000 0.8722
Sn2 Sn 0.5000 0.5000 0.5000
```


[6]
Starting from a GGA-PBE-relaxed structure, the X-ray powder pattern of Ti3VTe4 was computed for Cu Kα X-rays.
Kinematic intensities with the Lorentz-polarization factor, no thermal factor.

Main lines, by angle (2θ from 10° to 90°):
- (0 0 2), 28.2°, rel. 29.3
- (2 1 1), 28.9°, rel. 100.0
- (0 2 1), 29.4°, rel. 44.6
- (2 1 2), 38.1°, rel. 55.8
- (0 2 2), 38.5°, rel. 24.2
- (4 0 0), 44.1°, rel. 20.9
- (2 3 0), 45.1°, rel. 32.1
- (2 1 3), 50.3°, rel. 23.9
- (4 2 1), 53.9°, rel. 13.4
- (2 3 2), 54.0°, rel. 15.1

Atomic structure:
```
data_Ti3VTe4
_chemical_formula_sum 'Ti6 V2 Te8'
_cell_length_a 8.2145
_cell_length_b 6.9194
_cell_length_c 6.3379
_cell_angle_alpha 90.00
_cell_angle_beta 90.00
_cell_angle_gamma 90.00
_symmetry_space_group_name_H-M 'P m n 21'
_symmetry_Int_Tables_number 31
loop_
_symmetry_equiv_pos_as_xyz
'x,y,z'
'-x+1/2,-y,z+1/2'
'-x,y,z'
'x+1/2,-y,z+1/2'
loop_
_atom_site_label
_atom_site_type_symbol
_atom_site_fract_x
_atom_site_fract_y
_atom_site_fract_z
Ti1 Ti 0.0000 0.1617 0.0000
Ti2 Ti 0.2264 0.0222 0.2891
V1 V 0.0000 0.4314 0.2686
Te1 Te 0.0000 0.1660 0.5733
Te2 Te 0.0000 0.7801 0.0485
Te3 Te 0.2206 0.6470 0.5437
```


[7]
Starting from a GGA-PBE-relaxed structure, the X-ray powder pattern of HoSiRh3 was computed for Cu Kα X-rays.
Kinematic intensities with the Lorentz-polarization factor, no thermal factor.

Main lines, by angle (2θ from 10° to 90°):
- (1 1 2), 29.7°, rel. 26.5
- (1 2 1), 30.7°, rel. 49.5
- (0 2 2), 32.2°, rel. 69.3
- (2 1 1), 36.6°, rel. 36.2
- (1 0 3), 36.9°, rel. 44.1
- (0 3 1), 37.3°, rel. 48.8
- (2 0 2), 39.6°, rel. 75.1
- (2 2 0), 40.7°, rel. 100.0
- (1 2 3), 44.2°, rel. 80.9
- (0 0 4), 44.4°, rel. 29.1

Atomic structure:
```
data_HoSiRh3
_chemical_formula_sum 'Ho4 Si4 Rh12'
_cell_length_a 5.4743
_cell_length_b 7.5697
_cell_length_c 8.1696
_cell_angle_alpha 90.00
_cell_angle_beta 90.00
_cell_angle_gamma 90.00
_symmetry_space_group_name_H-M 'I m m a'
_symmetry_Int_Tables_number 74
_symmetry_space_group_name_Hall '-I 2b 2'
loop_
_atom_site_label
_atom_site_type_symbol
_atom_site_fract_x
_atom_site_fract_y
_atom_site_fract_z
Ho1 Ho 0.0000 0.2500 0.0043
Si1 Si 0.0000 0.0000 0.5000
Rh1 Rh 0.0000 0.2500 0.6702
Rh2 Rh 0.2500 0.0485 0.2500
```


[8]
Starting from a GGA-PBE-relaxed structure, the X-ray powder pattern of Tb3HoN4 was computed for Cu Kα X-rays.
Kinematic intensities with the Lorentz-polarization factor, no thermal factor.

Main lines, by angle (2θ from 10° to 90°):
- (1 1 1), 31.4°, rel. 100.0
- (2 0 0), 36.4°, rel. 71.6
- (2 2 0), 52.5°, rel. 49.3
- (3 1 1), 62.5°, rel. 44.7
- (2 2 2), 65.6°, rel. 16.5
- (4 0 0), 77.4°, rel. 7.7
- (3 3 1), 85.9°, rel. 19.2
- (4 2 0), 88.7°, rel. 22.5

Atomic structure:
```
data_Tb3HoN4
_chemical_formula_sum 'Tb3 Ho1 N4'
_cell_length_a 4.9307
_cell_length_b 4.9307
_cell_length_c 4.9307
_cell_angle_alpha 90.00
_cell_angle_beta 90.00
_cell_angle_gamma 90.00
_symmetry_space_group_name_H-M 'P m -3 m'
_symmetry_Int_Tables_number 221
_symmetry_space_group_name_Hall '-P 4 2 3'
loop_
_atom_site_label
_atom_site_type_symbol
_atom_site_fract_x
_atom_site_fract_y
_atom_site_fract_z
Tb1 Tb 0.0000 0.0000 0.5000
Ho1 Ho 0.5000 0.5000 0.5000
N1 N 0.0000 0.0000 0.0000
N2 N 0.0000 0.5000 0.5000
```


[9]
Starting from a GGA-PBE-relaxed structure, the X-ray powder pattern of Cs4PdI8 was computed for Cu Kα X-rays.
Kinematic intensities with the Lorentz-polarization factor, no thermal factor.

Main lines, by angle (2θ from 10° to 90°):
- (0 2 2), 15.8°, rel. 27.0
- (2 0 0), 16.2°, rel. 27.0
- (2 2 2), 22.7°, rel. 53.1
- (2 0 4), 25.1°, rel. 100.0
- (2 4 0), 30.3°, rel. 65.1
- (0 4 4), 32.0°, rel. 71.1
- (4 0 0), 32.7°, rel. 35.5
- (0 0 8), 38.7°, rel. 18.0
- (4 4 4), 46.4°, rel. 52.9
- (2 4 8), 49.9°, rel. 26.0

Atomic structure:
```
data_Cs4PdI8
_chemical_formula_sum 'Cs16 Pd4 I32'
_cell_length_a 10.9414
_cell_length_b 13.9853
_cell_length_c 18.6221
_cell_angle_alpha 90.00
_cell_angle_beta 90.00
_cell_angle_gamma 90.00
_symmetry_space_group_name_H-M 'F m m m'
_symmetry_Int_Tables_number 69
_symmetry_space_group_name_Hall '-F 2 2'
loop_
_atom_site_label
_atom_site_type_symbol
_atom_site_fract_x
_atom_site_fract_y
_atom_site_fract_z
Cs1 Cs 0.2500 0.0000 0.2500
Cs2 Cs 0.2500 0.2500 0.0000
Pd1 Pd 0.0000 0.0000 0.0000
I1 I 0.0000 0.1212 0.3706
I2 I 0.0000 0.1269 0.1089
```